For Zr3As4O20, the PBE geometry in the Materials Project gives the calculated X-ray diffraction stick pattern in this record (Cu Kα).
Intensities are scaled so that the largest is 100.

Top 8 peaks for 2θ = 10–90°, by angle:
| Position (°2θ) | intensity |
| --- | --- |
| 10.47 | 43 |
| 16.80 | 43 |
| 19.52 | 89 |
| 24.37 | 100 |
| 24.87 | 78 |
| 25.86 | 43 |
| 26.34 | 85 |
| 28.15 | 57 |

Structural model:
Lattice parameters (Å, degrees): 5.6727 9.0400 9.5582 110.72 91.47 91.12
Fractional positions:
Zr1 0.0000 0.0000 0.0000
Zr2 0.2712 0.7270 0.4237
Zr3 0.7288 0.2730 0.5763
As1 0.2050 0.3146 0.3448
As2 0.2442 0.1294 0.7067
As3 0.7558 0.8706 0.2933
As4 0.7950 0.6854 0.6552
O1 0.0266 0.2565 0.7049
O2 0.0683 0.6753 0.5838
O3 0.1882 0.1599 0.1731
O4 0.1934 0.0724 0.8590
O5 0.2341 0.6502 0.9464
O6 0.2399 0.9658 0.5493
O7 0.2693 0.7940 0.9852
O8 0.2762 0.4801 0.3063
O9 0.4169 0.2750 0.4540
O10 0.4853 0.7771 0.2651
O11 0.5147 0.2229 0.7349
O12 0.5831 0.7250 0.5460
O13 0.7238 0.5199 0.6937
O14 0.7307 0.2060 0.0148
O15 0.7601 0.0342 0.4507
O16 0.7659 0.3498 0.0536
O17 0.8066 0.9276 0.1410
O18 0.8118 0.8401 0.8269
O19 0.9317 0.3247 0.4162
O20 0.9734 0.7435 0.2951

=====

For AlCd3, the PBE geometry in the Materials Project gives the calculated X-ray diffraction stick pattern in this record (Cu Kα).
Intensities are scaled so that the largest is 100.

Top 8 peaks for 2θ = 10–90°, by angle:
| Position (°2θ) | intensity |
| --- | --- |
| 22.58 | 17 |
| 35.22 | 100 |
| 40.40 | 17 |
| 41.15 | 32 |
| 59.03 | 21 |
| 70.13 | 12 |
| 71.16 | 24 |
| 74.48 | 10 |

Structural model:
Lattice parameters (Å, degrees): 5.4372 5.4372 5.4372 132.41 132.41 69.58
Fractional positions:
Al1 0.0000 0.0000 0.0000
Cd1 0.2500 0.7500 0.5000
Cd2 0.5000 0.5000 0.0000
Cd3 0.7500 0.2500 0.5000

=====

For Li2Ti7Nb6O30, the PBE geometry in the Materials Project gives the calculated X-ray diffraction stick pattern in this record (Cu Kα).
Intensities are scaled so that the largest is 100.

Top 8 peaks for 2θ = 10–90°, by angle:
| Position (°2θ) | intensity |
| --- | --- |
| 21.12 | 60 |
| 22.74 | 100 |
| 24.83 | 34 |
| 30.07 | 25 |
| 33.07 | 36 |
| 34.54 | 49 |
| 52.19 | 55 |
| 61.89 | 24 |

Structural model:
Lattice parameters (Å, degrees): 5.1934 5.1934 23.7502 90.00 90.00 120.00
Fractional positions:
Li1 0.0000 0.0000 0.0000
Li2 0.3333 0.6667 0.6066
Ti1 0.0000 0.0000 0.2479
Ti2 0.0000 0.0000 0.5187
Ti3 0.0000 0.0000 0.6444
Ti4 0.0000 0.0000 0.8377
Ti5 0.6667 0.3333 0.2242
Ti6 0.6667 0.3333 0.5478
Ti7 0.6667 0.3333 0.8149
Nb1 0.0000 0.0000 0.1243
Nb2 0.3333 0.6667 0.0319
Nb3 0.3333 0.6667 0.3314
Nb4 0.3333 0.6667 0.7309
Nb5 0.6667 0.3333 0.4216
Nb6 0.6667 0.3333 0.9391
O1 0.0025 0.6364 0.9808
O2 0.0040 0.3385 0.2781
O3 0.0043 0.6162 0.3777
O4 0.0041 0.6677 0.7840
O5 0.0515 0.3294 0.0784
O6 0.0694 0.3402 0.6825
O7 0.2708 0.9306 0.6825
O8 0.2779 0.9485 0.0784
O9 0.3116 0.2744 0.5810
O10 0.3183 0.2468 0.1858
O11 0.3323 0.3364 0.7840
O12 0.3346 0.9960 0.2781
O13 0.3481 0.0898 0.8769
O14 0.3544 0.0803 0.4836
O15 0.3636 0.3660 0.9808
O16 0.3838 0.3881 0.3777
O17 0.6119 0.9957 0.3777
O18 0.6340 0.9975 0.9808
O19 0.6598 0.7292 0.6825
O20 0.6615 0.6654 0.2781
O21 0.6636 0.9959 0.7840
O22 0.6706 0.7221 0.0784
O23 0.7256 0.0372 0.5810
O24 0.7260 0.6456 0.4836
O25 0.7417 0.6519 0.8769
O26 0.7532 0.0715 0.1858
O27 0.9102 0.2583 0.8769
O28 0.9197 0.2740 0.4836
O29 0.9285 0.6817 0.1858
O30 0.9628 0.6884 0.5810

=====

For NbFe4Si, the PBE geometry in the Materials Project gives the calculated X-ray diffraction stick pattern in this record (Cu Kα).
Intensities are scaled so that the largest is 100.

Top 8 peaks for 2θ = 10–90°, by angle:
| Position (°2θ) | intensity |
| --- | --- |
| 11.74 | 25 |
| 37.55 | 33 |
| 42.05 | 76 |
| 44.84 | 88 |
| 45.34 | 100 |
| 50.20 | 25 |
| 70.84 | 27 |
| 80.13 | 26 |

Structural model:
Lattice parameters (Å, degrees): 4.7909 4.7909 7.5350 90.00 90.00 120.00
Fractional positions:
Nb1 0.3333 0.6667 0.4180
Nb2 0.6667 0.3333 0.5820
Fe1 0.0000 0.0000 0.0000
Fe2 0.0000 0.0000 0.5000
Fe3 0.1698 0.3397 0.7571
Fe4 0.1698 0.8302 0.7571
Fe5 0.3397 0.1698 0.2429
Fe6 0.6603 0.8302 0.7571
Fe7 0.8302 0.1698 0.2429
Fe8 0.8302 0.6603 0.2429
Si1 0.3333 0.6667 0.0570
Si2 0.6667 0.3333 0.9430

=====

For Mg9Si5, the PBE geometry in the Materials Project gives the calculated X-ray diffraction stick pattern in this record (Cu Kα).
Intensities are scaled so that the largest is 100.

Top 8 peaks for 2θ = 10–90°, by angle:
| Position (°2θ) | intensity |
| --- | --- |
| 33.36 | 53 |
| 34.85 | 94 |
| 35.47 | 62 |
| 37.41 | 100 |
| 38.13 | 63 |
| 38.38 | 73 |
| 43.39 | 41 |
| 43.87 | 70 |

Structural model:
Lattice parameters (Å, degrees): 7.1316 7.1546 12.4822 96.02 90.63 118.93
Fractional positions:
Mg1 0.0000 0.0000 0.0000
Mg2 0.0023 0.3639 0.1703
Mg3 0.0912 0.4512 0.5056
Mg4 0.1831 0.5344 0.8061
Mg5 0.2519 0.8696 0.1607
Mg6 0.2973 0.9863 0.5067
Mg7 0.3524 0.1094 0.8125
Mg8 0.3604 0.5225 0.0228
Mg9 0.4398 0.7035 0.3279
Mg10 0.4991 0.8188 0.6722
Mg11 0.5665 0.2126 0.0336
Mg12 0.6575 0.2414 0.3297
Mg13 0.7208 0.6128 0.8299
Mg14 0.7261 0.3207 0.6527
Mg15 0.7548 0.6272 0.1698
Mg16 0.7657 0.6692 0.5028
Mg17 0.9852 0.0328 0.3304
Mg18 0.9895 0.0819 0.6761
Si1 0.0295 0.6625 0.3351
Si2 0.0624 0.7408 0.6705
Si3 0.3408 0.2927 0.1969
Si4 0.3771 0.3491 0.4187
Si5 0.3948 0.3970 0.6476
Si6 0.5610 0.8707 0.9072
Si7 0.6694 0.9512 0.1552
Si8 0.7156 0.0282 0.4984
Si9 0.7974 0.2127 0.8479
Si10 0.9671 0.5558 0.9933

=====

For LaFe5H7, the PBE geometry in the Materials Project gives the calculated X-ray diffraction stick pattern in this record (Cu Kα).
Intensities are scaled so that the largest is 100.

Top 8 peaks for 2θ = 10–90°, by angle:
| Position (°2θ) | intensity |
| --- | --- |
| 28.11 | 41 |
| 28.74 | 27 |
| 32.42 | 31 |
| 36.27 | 47 |
| 37.77 | 54 |
| 39.23 | 100 |
| 43.78 | 33 |
| 60.36 | 26 |

Structural model:
Lattice parameters (Å, degrees): 5.5335 5.5335 8.2714 90.00 90.00 116.47
Fractional positions:
La1 0.0000 0.0000 0.0000
La2 0.0000 0.0000 0.5000
Fe1 0.0000 0.5000 0.2673
Fe2 0.0000 0.5000 0.7327
Fe3 0.3376 0.6444 0.0000
Fe4 0.3556 0.6624 0.5000
Fe5 0.5000 0.0000 0.2327
Fe6 0.5000 0.0000 0.7673
Fe7 0.5000 0.5000 0.2500
Fe8 0.5000 0.5000 0.7500
Fe9 0.6444 0.3376 0.5000
Fe10 0.6624 0.3556 0.0000
H1 0.0000 0.5000 0.5000
H2 0.1562 0.8438 0.2500
H3 0.1562 0.8438 0.7500
H4 0.1995 0.4073 0.1517
H5 0.1995 0.4073 0.8483
H6 0.4073 0.1995 0.3483
H7 0.4073 0.1995 0.6517
H8 0.5000 0.0000 0.0000
H9 0.5927 0.8005 0.3483
H10 0.5927 0.8005 0.6517
H11 0.8005 0.5927 0.1517
H12 0.8005 0.5927 0.8483
H13 0.8438 0.1562 0.2500
H14 0.8438 0.1562 0.7500

=====

For MgSbS2NCl6, the PBE geometry in the Materials Project gives the calculated X-ray diffraction stick pattern in this record (Cu Kα).
Intensities are scaled so that the largest is 100.

Top 8 peaks for 2θ = 10–90°, by angle:
| Position (°2θ) | intensity |
| --- | --- |
| 12.07 | 100 |
| 14.13 | 62 |
| 15.11 | 74 |
| 18.88 | 31 |
| 23.66 | 62 |
| 24.67 | 33 |
| 30.71 | 69 |
| 38.36 | 34 |

Structural model:
Lattice parameters (Å, degrees): 8.3791 8.3791 8.3791 127.46 111.77 91.20
Fractional positions:
Mg1 0.0000 0.0000 0.0000
Sb1 0.0000 0.5000 0.5000
S1 0.3723 0.3723 0.0000
S2 0.6277 0.6277 0.0000
N1 0.5000 0.5000 0.0000
Cl1 0.1850 0.2225 0.4075
Cl2 0.1850 0.7775 0.9625
Cl3 0.2219 0.7219 0.5000
Cl4 0.7781 0.2781 0.5000
Cl5 0.8150 0.2225 0.0375
Cl6 0.8150 0.7775 0.5925